[1]
Computed PXRD pattern
Compound: NiSn4Au2
Radiation: Cu Ka
Structure: a DFT-relaxed cell (PBE, Alexandria)

Atomic structure:
Lattice parameters (Å, degrees): 4.171 6.794 6.846 60.88 72.39 72.29
Space group P-1 (No. 2)
Inequivalent atoms, fractional coordinates:
Ni  0.000  0.000  0.000 (multiplicity 1)
Sn  0.104  0.241  0.553 (multiplicity 2)
Sn  0.390  0.272  0.949 (multiplicity 2)
Au  0.255  0.752  0.738 (multiplicity 2)

The 8 most intense peaks (2θ = 15–90°), in order of rising 2θ:
| hkl | Position (°2θ) | I/Imax |
| --- | --- | --- |
| 1 1 2 | 29.76 | 100 |
| 0 2 0 | 30.67 | 49 |
| -1 1 2 | 41.33 | 18 |
| -1 2 1 | 41.47 | 26 |
| 1 3 2 | 41.58 | 26 |
| 0 1 3 | 41.78 | 24 |
| 2 1 1 | 43.39 | 27 |
| 1 2 -1 | 44.95 | 47 |


[2]
Computed PXRD pattern
Compound: NiSn6Au
Radiation: Cu Ka
Structure: a DFT-relaxed cell (PBE, Alexandria)

Atomic structure:
Lattice parameters (Å, degrees): 13.347 9.329 9.511 90.00 133.83 90.00
Space group C2/m (No. 12)
Inequivalent atoms, fractional coordinates:
Ni  0.250  0.250  0.000 (multiplicity 4)
Sn  0.016  0.162  0.675 (multiplicity 8)
Sn  0.131  0.500  0.491 (multiplicity 4)
Sn  0.154  0.335  0.142 (multiplicity 8)
Sn  0.188  0.500  0.854 (multiplicity 4)
Au  0.250  0.250  0.500 (multiplicity 4)

The 8 most intense peaks (2θ = 15–90°), in order of rising 2θ:
| hkl | Position (°2θ) | I/Imax |
| --- | --- | --- |
| 0 2 0 | 19.03 | 22 |
| 2 2 -1 | 23.27 | 23 |
| 2 0 -3 | 29.43 | 100 |
| 1 3 -1 | 30.23 | 74 |
| 4 2 -1 | 35.45 | 50 |
| 1 3 -2 | 35.62 | 25 |
| 4 2 -4 | 42.70 | 21 |
| 2 2 2 | 46.10 | 23 |


[3]
Computed PXRD pattern
Compound: Sr4NiAu2
Radiation: Cu Ka
Structure: a DFT-relaxed cell (PBE, Alexandria)

Atomic structure:
Lattice parameters (Å, degrees): 5.515 5.515 16.035 90.00 90.00 90.00
Space group I4/mmm (No. 139)
Inequivalent atoms, fractional coordinates:
Sr  0.000  0.000  0.186 (multiplicity 4)
Sr  0.000  0.500  0.000 (multiplicity 4)
Ni  0.000  0.000  0.000 (multiplicity 2)
Au  0.000  0.000  0.382 (multiplicity 4)

The 8 most intense peaks (2θ = 15–90°), in order of rising 2θ:
| hkl | Position (°2θ) | I/Imax |
| --- | --- | --- |
| 1 0 1 | 17.00 | 32 |
| 1 1 0 | 22.80 | 77 |
| 1 1 4 | 32.02 | 80 |
| 1 0 5 | 32.29 | 95 |
| 2 0 0 | 32.47 | 100 |
| 2 1 5 | 46.45 | 69 |
| 2 2 0 | 46.58 | 37 |
| 4 2 0 | 77.34 | 32 |


[4]
Computed PXRD pattern
Compound: Sr2NiAu
Radiation: Cu Ka
Structure: a DFT-relaxed cell (PBE, Alexandria)

Atomic structure:
Lattice parameters (Å, degrees): 4.523 4.374 11.410 90.00 90.00 90.00
Space group Amm2 (No. 38)
Inequivalent atoms, fractional coordinates:
Sr  0.000  0.000  0.000 (multiplicity 2)
Sr  0.500  0.000  0.282 (multiplicity 2)
Ni  0.000  0.000  0.699 (multiplicity 2)
Au  0.500  0.000  0.577 (multiplicity 2)

The 8 most intense peaks (2θ = 15–90°), in order of rising 2θ:
| hkl | Position (°2θ) | I/Imax |
| --- | --- | --- |
| 0 0 2 | 15.53 | 51 |
| 0 1 1 | 21.76 | 29 |
| 1 1 1 | 29.47 | 100 |
| 0 1 3 | 31.16 | 51 |
| 1 1 3 | 37.10 | 82 |
| 1 0 4 | 37.27 | 42 |
| 2 0 0 | 39.86 | 30 |
| 0 2 0 | 41.28 | 27 |


[5]
Computed PXRD pattern
Compound: Sr8Ni2Au
Radiation: Cu Ka
Structure: a DFT-relaxed cell (PBE, Alexandria)

Atomic structure:
Lattice parameters (Å, degrees): 9.4095 9.4095 6.4271 90.00 90.00 120.00
Space group P-3 (No. 147)
Inequivalent atoms, fractional coordinates:
Sr  0.1618  0.3254  0.2493 (multiplicity 6)
Sr  0.3333  0.6667  0.7496 (multiplicity 2)
Ni  0.3333  0.6667  0.2495 (multiplicity 2)
Au  0.0000  0.0000  0.5000 (multiplicity 1)

The 8 most intense peaks (2θ = 15–90°), in order of rising 2θ:
| hkl | Position (°2θ) | I/Imax |
| --- | --- | --- |
| 1 0 1 | 17.57 | 43 |
| 1 1 0 | 18.86 | 40 |
| 2 0 1 | 25.89 | 100 |
| 2 1 1 | 32.23 | 22 |
| 0 2 2 | 35.58 | 58 |
| 2 2 0 | 38.26 | 66 |
| 0 2 3 | 47.95 | 44 |
| 2 2 4 | 71.05 | 21 |


[6]
Computed PXRD pattern
Compound: SrTl2NiAu
Radiation: Cu Ka
Structure: a DFT-relaxed cell (PBE, Alexandria)

Atomic structure:
Lattice parameters (Å, degrees): 5.010 5.010 5.202 90.00 90.00 90.00
Space group P4/mmm (No. 123)
Inequivalent atoms, fractional coordinates:
Sr  0.000  0.000  0.000 (multiplicity 1)
Tl  0.000  0.500  0.500 (multiplicity 2)
Ni  0.500  0.500  0.500 (multiplicity 1)
Au  0.500  0.500  0.000 (multiplicity 1)

The 8 most intense peaks (2θ = 15–90°), in order of rising 2θ:
| hkl | Position (°2θ) | I/Imax |
| --- | --- | --- |
| 1 1 1 | 30.53 | 100 |
| 0 0 2 | 34.48 | 27 |
| 2 0 0 | 35.85 | 48 |
| 2 0 2 | 50.59 | 36 |
| 2 2 0 | 51.60 | 17 |
| 1 1 3 | 59.34 | 16 |
| 3 1 1 | 61.15 | 29 |
| 2 2 2 | 63.55 | 18 |


[7]
Computed PXRD pattern
Compound: TaNiAu
Radiation: Cu Ka
Structure: a DFT-relaxed cell (PBE, Alexandria)

Atomic structure:
Lattice parameters (Å, degrees): 9.147 2.982 7.465 90.00 114.38 90.00
Space group C2/m (No. 12)
Inequivalent atoms, fractional coordinates:
Ta  0.004  0.000  0.280 (multiplicity 4)
Ni  0.169  0.500  0.575 (multiplicity 4)
Au  0.168  0.500  0.095 (multiplicity 4)

The 8 most intense peaks (2θ = 15–90°), in order of rising 2θ:
| hkl | Position (°2θ) | I/Imax |
| --- | --- | --- |
| 1 1 -1 | 32.78 | 20 |
| 1 1 -2 | 38.65 | 100 |
| 4 0 -2 | 40.38 | 45 |
| 2 0 2 | 40.59 | 42 |
| 3 1 0 | 44.59 | 72 |
| 2 0 -4 | 48.80 | 21 |
| 0 2 0 | 62.25 | 20 |
| 5 1 -4 | 68.09 | 16 |


[8]
Computed PXRD pattern
Compound: Tb2NiAu
Radiation: Cu Ka
Structure: a DFT-relaxed cell (PBE, Alexandria)

Atomic structure:
Lattice parameters (Å, degrees): 3.492 3.492 7.106 90.00 90.00 90.00
Space group P4/mmm (No. 123)
Inequivalent atoms, fractional coordinates:
Tb  0.000  0.000  0.234 (multiplicity 2)
Ni  0.500  0.500  0.000 (multiplicity 1)
Au  0.500  0.500  0.500 (multiplicity 1)

The 8 most intense peaks (2θ = 15–90°), in order of rising 2θ:
| hkl | Position (°2θ) | I/Imax |
| --- | --- | --- |
| 1 0 1 | 28.48 | 15 |
| 1 0 2 | 36.06 | 100 |
| 1 1 0 | 36.39 | 50 |
| 0 0 4 | 51.43 | 9 |
| 2 0 0 | 52.41 | 18 |
| 1 1 4 | 64.63 | 17 |
| 2 1 2 | 65.27 | 35 |
| 2 0 4 | 76.50 | 11 |


[9]
Computed PXRD pattern
Compound: Th3Ni4Au
Radiation: Cu Ka
Structure: a DFT-relaxed cell (PBE, Alexandria)

Atomic structure:
Lattice parameters (Å, degrees): 3.809 6.261 14.049 90.00 90.00 90.00
Space group Immm (No. 71)
Inequivalent atoms, fractional coordinates:
Th  0.000  0.000  0.000 (multiplicity 2)
Th  0.000  0.500  0.186 (multiplicity 4)
Ni  0.000  0.308  0.373 (multiplicity 8)
Au  0.000  0.000  0.500 (multiplicity 2)

The 8 most intense peaks (2θ = 15–90°), in order of rising 2θ:
| hkl | Position (°2θ) | I/Imax |
| --- | --- | --- |
| 0 1 3 | 23.73 | 22 |
| 0 2 0 | 28.51 | 23 |
| 1 1 2 | 30.27 | 100 |
| 1 1 4 | 37.70 | 39 |
| 0 0 6 | 38.49 | 31 |
| 1 2 3 | 42.05 | 21 |
| 2 0 0 | 47.74 | 26 |
| 1 3 2 | 51.60 | 22 |


[10]
Computed PXRD pattern
Compound: ThNiAu11
Radiation: Cu Ka
Structure: a DFT-relaxed cell (PBE, Alexandria)

Atomic structure:
Lattice parameters (Å, degrees): 5.532 13.765 7.082 90.00 112.49 90.00
Space group C2/m (No. 12)
Inequivalent atoms, fractional coordinates:
Th  0.000  0.000  0.000 (multiplicity 2)
Ni  0.000  0.000  0.500 (multiplicity 2)
Au  0.000  0.500  0.500 (multiplicity 2)
Au  0.121  0.396  0.216 (multiplicity 8)
Au  0.164  0.165  0.353 (multiplicity 8)
Au  0.250  0.250  0.000 (multiplicity 4)

The 8 most intense peaks (2θ = 15–90°), in order of rising 2θ:
| hkl | Position (°2θ) | I/Imax |
| --- | --- | --- |
| 2 0 -1 | 32.37 | 37 |
| 1 3 1 | 32.53 | 57 |
| 1 5 -1 | 37.13 | 83 |
| 2 2 0 | 37.54 | 46 |
| 2 2 -2 | 37.75 | 60 |
| 0 4 2 | 37.95 | 100 |
| 1 1 -3 | 38.74 | 61 |
| 2 4 -1 | 41.90 | 67 |


[11]
Computed PXRD pattern
Compound: Th2Ni9Au
Radiation: Cu Ka
Structure: a DFT-relaxed cell (PBE, Alexandria)

Atomic structure:
Lattice parameters (Å, degrees): 4.9797 4.9797 24.4572 90.00 90.00 120.00
Space group R-3m (No. 166, hexagonal axes)
Inequivalent atoms, fractional coordinates:
Th  0.0000  0.0000  0.1306 (multiplicity 6)
Ni  0.0000  0.0000  0.3330 (multiplicity 6)
Ni  0.0000  0.0000  0.5000 (multiplicity 3)
Ni  0.0016  0.5008  0.9187 (multiplicity 18)
Au  0.0000  0.0000  0.0000 (multiplicity 3)

The 8 most intense peaks (2θ = 15–90°), in order of rising 2θ:
| hkl | Position (°2θ) | I/Imax |
| --- | --- | --- |
| 1 0 1 | 20.92 | 24 |
| 1 0 7 | 32.99 | 48 |
| 1 1 0 | 36.04 | 100 |
| 0 2 1 | 42.07 | 33 |
| 1 1 6 | 42.55 | 56 |
| 2 0 5 | 45.97 | 23 |
| 1 1 9 | 49.66 | 19 |
| 3 0 0 | 64.84 | 27 |


[12]
Computed PXRD pattern
Compound: Th6Ni6Au
Radiation: Cu Ka
Structure: a DFT-relaxed cell (PBE, Alexandria)

Atomic structure:
Lattice parameters (Å, degrees): 5.645 9.841 9.874 90.00 90.00 90.00
Space group Immm (No. 71)
Inequivalent atoms, fractional coordinates:
Th  0.000  0.000  0.195 (multiplicity 4)
Th  0.000  0.333  0.000 (multiplicity 4)
Th  0.000  0.336  0.500 (multiplicity 4)
Ni  0.000  0.500  0.249 (multiplicity 4)
Ni  0.250  0.250  0.250 (multiplicity 8)
Au  0.000  0.000  0.500 (multiplicity 2)

The 8 most intense peaks (2θ = 15–90°), in order of rising 2θ:
| hkl | Position (°2θ) | I/Imax |
| --- | --- | --- |
| 1 1 2 | 25.60 | 46 |
| 1 3 0 | 31.53 | 100 |
| 2 0 0 | 31.70 | 42 |
| 0 0 4 | 36.39 | 36 |
| 1 3 2 | 36.52 | 71 |
| 2 0 2 | 36.69 | 33 |
| 2 2 2 | 41.15 | 40 |
| 2 0 6 | 65.61 | 34 |